[1]
Starting from a crystal structure in Alexandria, relaxed with GGA-PBE, the XRD peak list of LiLa4Y4 was calculated for λ = 1.5418 Å (Cu Kα).

```
data_LiLa4Y4
_chemical_formula_sum 'Li2 La8 Y8'
_cell_length_a 6.5133
_cell_length_b 7.9497
_cell_length_c 11.6176
_cell_angle_alpha 90.00
_cell_angle_beta 90.00
_cell_angle_gamma 90.00
_symmetry_space_group_name_H-M 'I 2 2 2'
_symmetry_Int_Tables_number 23
_symmetry_space_group_name_Hall 'I 2 2'
loop_
_atom_site_label
_atom_site_fract_x
_atom_site_fract_y
_atom_site_fract_z
Li1 0.0000 0.0000 0.0000
La1 0.0000 0.0000 0.5000
La2 0.0000 0.3249 0.0000
La3 0.0000 0.5000 0.5000
Y1 0.2345 0.1377 0.2455
```

Top 10 peaks for 5° ≤ 2θ ≤ 70°, sorted by position:
h k l, two_theta, I_rel
1 2 1, 27.38, 100
0 0 4, 30.79, 48
2 0 2, 31.49, 89
1 2 3, 35.17, 50
1 3 2, 39.87, 11
1 2 5, 47.42, 21
3 2 1, 48.41, 29
1 4 1, 48.54, 13
3 2 3, 53.61, 14
2 0 6, 55.19, 18

***

[2]
Starting from a crystal structure in Alexandria, relaxed with GGA-PBE, the XRD peak list of LiLa4Zn was calculated for λ = 1.5418 Å (Cu Kα).

```
data_LiLa4Zn
_chemical_formula_sum 'Li2 La8 Zn2'
_cell_length_a 7.3460
_cell_length_b 7.3461
_cell_length_c 7.6191
_cell_angle_alpha 90.00
_cell_angle_beta 90.09
_cell_angle_gamma 90.00
_symmetry_space_group_name_H-M 'C 1 2 1'
_symmetry_Int_Tables_number 5
_symmetry_space_group_name_Hall 'C 2y'
loop_
_atom_site_label
_atom_site_fract_x
_atom_site_fract_y
_atom_site_fract_z
Li1 0.0000 0.0000 0.0000
La1 0.2499 0.2502 0.7220
La2 0.2498 0.2507 0.2780
Zn1 0.0000 0.5009 0.5000
```

Top 10 peaks for 5° ≤ 2θ ≤ 70°, sorted by position:
h k l, two_theta, I_rel
0 0 1, 11.61, 24
0 0 2, 23.35, 36
2 0 0, 24.23, 75
2 0 2, 33.90, 100
2 2 0, 34.53, 53
2 2 2, 42.11, 30
2 0 3, 43.31, 17
4 0 0, 49.64, 19
4 2 0, 55.98, 15
4 2 2, 61.47, 35

***

[3]
Starting from a crystal structure in Alexandria, relaxed with GGA-PBE, the XRD peak list of Li3La3Zn8 was calculated for λ = 1.5418 Å (Cu Kα).

```
data_Li3La3Zn8
_chemical_formula_sum 'Li6 La6 Zn16'
_cell_length_a 4.6473
_cell_length_b 8.8018
_cell_length_c 14.0766
_cell_angle_alpha 90.00
_cell_angle_beta 90.00
_cell_angle_gamma 90.00
_symmetry_space_group_name_H-M 'I m m m'
_symmetry_Int_Tables_number 71
_symmetry_space_group_name_Hall '-I 2 2'
loop_
_atom_site_label
_atom_site_fract_x
_atom_site_fract_y
_atom_site_fract_z
Li1 0.0000 0.0000 0.0000
Li2 0.0000 0.3051 0.5000
La1 0.0000 0.5000 0.0000
La2 0.0000 0.5000 0.2872
Zn1 0.0000 0.1457 0.3400
Zn2 0.0000 0.2118 0.1383
```

Top 10 peaks for 5° ≤ 2θ ≤ 70°, sorted by position:
h k l, two_theta, I_rel
0 1 1, 11.86, 26
0 0 2, 12.58, 60
1 0 3, 27.00, 36
0 2 4, 32.58, 63
1 1 4, 33.53, 76
1 2 3, 33.94, 74
1 3 0, 36.21, 100
2 0 0, 38.75, 57
2 2 4, 51.50, 34
1 4 7, 66.07, 26